# ErSi2Rh3
Computed X-ray powder pattern, λ = 1.5418 Å (Cu Kα). Input: a crystal structure in the Materials Project, relaxed with GGA-PBE.
Neutral-atom scattering factors, no anomalous dispersion.

Structural model:
```
12
Lattice="-3.594 4.808 2.776 3.594 -4.808 2.776 3.594 4.808 -2.776" Properties=species:S:1:pos:R:3 pbc="T T T"
Er 0.000 2.404 1.122
Er 3.594 2.404 1.653
Si 3.594 -0.754 1.072
Si 3.594 4.054 -1.072
Si 0.000 0.754 3.848
Si 0.000 5.562 1.704
Rh 1.797 2.404 -1.388
Rh 1.536 0.000 0.000
Rh 1.797 -2.404 1.388
Rh 5.652 0.000 0.000
Rh 1.536 4.808 0.000
Rh 2.058 0.000 2.776
```

Largest 10 diffraction maxima, by angle, 10 to 80 degrees two-theta:
2θ 31.07, intensity 91; 2θ 37.41, intensity 100; 2θ 41.08, intensity 74; 2θ 45.36, intensity 32; 2θ 50.81, intensity 15; 2θ 56.76, intensity 28; 2θ 63.55, intensity 18; 2θ 64.77, intensity 26; 2θ 67.48, intensity 19; 2θ 76.12, intensity 17

=====

# ErSiRh
Computed X-ray powder pattern, λ = 1.5418 Å (Cu Kα). Input: a crystal structure in the Materials Project, relaxed with GGA-PBE.
Neutral-atom scattering factors, no anomalous dispersion.

Structural model:
```
12
Lattice="6.845 0.000 0.000 0.000 4.224 0.000 0.000 0.000 7.398" Properties=species:S:1:pos:R:3 pbc="T T T"
Er 0.007 1.056 1.408
Er 3.416 3.168 5.108
Er 3.429 1.056 2.291
Er 6.839 3.168 5.990
Si 1.411 3.168 2.920
Si 2.012 1.056 6.620
Si 4.834 3.168 0.779
Si 5.434 1.056 4.478
Rh 1.057 1.056 4.209
Rh 2.366 3.168 0.510
Rh 4.479 1.056 6.888
Rh 5.789 3.168 3.189
```

Largest 10 diffraction maxima, by angle, 10 to 80 degrees two-theta:
2θ 24.26, intensity 33; 2θ 34.80, intensity 87; 2θ 35.74, intensity 34; 2θ 35.88, intensity 100; 2θ 38.81, intensity 31; 2θ 41.41, intensity 28; 2θ 42.44, intensity 36; 2θ 42.81, intensity 40; 2θ 59.59, intensity 31; 2θ 69.04, intensity 33

=====

> Which formula does entry 2 have?

ErSiRh